Entry 1:
The following is a simulated X-ray diffraction stick pattern of BaNaSn2Pb. It was derived from a GGA-PBE-relaxed structure, using Cu Kα, 1.54184 Å.
No peak broadening, texture or thermal motion is included.

Atomic structure:
```
BaNaSn2Pb
1.0
-2.3644 2.5530 6.9799
2.3644 -2.5530 6.9799
2.3644 2.5530 -6.9799
Ba Na Sn Pb
1 1 2 1
Direct
0.0000 0.0000 0.0000 Ba
0.2398 0.7398 0.5000 Na
0.6088 0.6088 0.0000 Sn
0.7468 0.2468 0.5000 Sn
0.3888 0.3888 0.0000 Pb
```

Principal peaks in the range 15 to 90 degrees two-theta, by angle:
2θ/deg	I_rel
19.82	36
25.68	52
25.91	60
26.88	40
28.73	100
35.15	44
36.52	44
36.69	45
37.41	41
38.06	36
52.27	32
53.89	30


Entry 2:
The following is a simulated X-ray diffraction stick pattern of Li3TmAu12. It was derived from a GGA-PBE-relaxed structure, using Cu Kα, 1.54184 Å.
No peak broadening, texture or thermal motion is included.

Atomic structure:
```
Li3TmAu12
1.0
4.1829 0.0000 0.0000
0.0000 4.1829 0.0000
0.0000 0.0000 16.1407
Li Tm Au
3 1 12
Direct
0.0000 0.0000 0.0000 Li
0.0000 0.0000 0.2392 Li
0.0000 0.0000 0.7608 Li
0.0000 0.0000 0.5000 Tm
0.0000 0.5000 0.1206 Au
0.0000 0.5000 0.3649 Au
0.0000 0.5000 0.6351 Au
0.0000 0.5000 0.8794 Au
0.5000 0.0000 0.1206 Au
0.5000 0.0000 0.3649 Au
0.5000 0.0000 0.6351 Au
0.5000 0.0000 0.8794 Au
0.5000 0.5000 0.0000 Au
0.5000 0.5000 0.2421 Au
0.5000 0.5000 0.5000 Au
0.5000 0.5000 0.7579 Au
```

Principal peaks in the range 15 to 90 degrees two-theta, by angle:
2θ/deg	I_rel
21.24	12
22.01	7
30.22	5
30.78	11
37.71	100
43.26	35
44.93	14
62.84	12
64.13	20
75.66	27
78.05	10
80.53	11